Calculated powder X-ray diffraction pattern of La3NdPb2S for λ = 1.5418 Å (Cu Kα), from DFT lattice parameters and positions (PBE).
Lines closer than 0.1° are merged.

Structural model:
```
data_La3NdPb2S
_chemical_formula_sum 'La6 Nd2 Pb4 S2'
_symmetry_space_group_name_H-M 'I m m m'
_symmetry_Int_Tables_number 71
_symmetry_space_group_name_Hall '-I 2 2'
_cell_length_a 5.3280
_cell_length_b 5.3721
_cell_length_c 16.9851
_cell_angle_alpha 90.00
_cell_angle_beta 90.00
_cell_angle_gamma 90.00
loop_
_atom_site_label
_atom_site_fract_x
_atom_site_fract_y
_atom_site_fract_z
La1 0.0000 0.0000 0.0000
La2 0.0000 0.5000 0.1699
Nd1 0.0000 0.0000 0.5000
Pb1 0.0000 0.5000 0.3650
S1 0.0000 0.5000 0.0000
```

Principal peaks in the range 2θ from 10° to 80°, in order of rising 2θ:
2theta, d (Å), I/Imax, hkl
23.5, 3.783, 28, 1 1 0
25.8, 3.456, 47, 1 1 2
31.2, 2.868, 21, 0 1 5
31.7, 2.826, 100, 1 1 4
33.4, 2.686, 30, 0 2 0
33.6, 2.664, 30, 2 0 0
48.1, 1.891, 22, 2 2 0
58.6, 1.576, 16, 1 3 4
58.7, 1.573, 13, 2 2 6
58.9, 1.567, 14, 3 1 4



Calculated powder X-ray diffraction pattern of V5GaS8 for λ = 1.5418 Å (Cu Kα), from DFT lattice parameters and positions (PBE).
Lines closer than 0.1° are merged.

Structural model:
```
data_V5GaS8
_chemical_formula_sum 'V20 Ga4 S32'
_symmetry_space_group_name_H-M 'F -4 3 m'
_symmetry_Int_Tables_number 216
_symmetry_space_group_name_Hall 'F -4 2 3'
_cell_length_a 10.1130
_cell_length_b 10.1130
_cell_length_c 10.1130
_cell_angle_alpha 90.00
_cell_angle_beta 90.00
_cell_angle_gamma 90.00
loop_
_atom_site_label
_atom_site_fract_x
_atom_site_fract_y
_atom_site_fract_z
V1 0.0000 0.0000 0.0000
V2 0.1292 0.1292 0.3708
Ga1 0.2500 0.2500 0.7500
S1 0.1149 0.1149 0.6149
S2 0.1309 0.1309 0.1309
```

Principal peaks in the range 2θ from 10° to 80°, in order of rising 2θ:
2theta, d (Å), I/Imax, hkl
24.9, 3.575, 37, 2 2 0
29.3, 3.049, 100, 3 1 1
35.5, 2.528, 50, 4 0 0
43.9, 2.064, 15, 4 2 2
46.7, 1.946, 48, 5 1 1
51.1, 1.788, 94, 4 4 0
60.0, 1.542, 11, 5 3 3
63.8, 1.460, 9, 4 4 4
71.7, 1.317, 17, 5 5 3
75.2, 1.264, 13, 8 0 0



Calculated powder X-ray diffraction pattern of LiCrB2 for λ = 1.5418 Å (Cu Kα), from DFT lattice parameters and positions (PBE).
Lines closer than 0.1° are merged.

Structural model:
```
data_LiCrB2
_chemical_formula_sum 'Li4 Cr4 B8'
_symmetry_space_group_name_H-M 'F m -3 m'
_symmetry_Int_Tables_number 225
_symmetry_space_group_name_Hall '-F 4 2 3'
_cell_length_a 5.0603
_cell_length_b 5.0603
_cell_length_c 5.0603
_cell_angle_alpha 90.00
_cell_angle_beta 90.00
_cell_angle_gamma 90.00
loop_
_atom_site_label
_atom_site_fract_x
_atom_site_fract_y
_atom_site_fract_z
Li1 0.0000 0.0000 0.0000
Cr1 0.0000 0.0000 0.5000
B1 0.2500 0.2500 0.2500
```

Principal peaks in the range 2θ from 10° to 80°, in order of rising 2θ:
2theta, d (Å), I/Imax, hkl
30.6, 2.922, 100, 1 1 1
35.5, 2.530, 38, 2 0 0
51.0, 1.789, 71, 2 2 0
60.7, 1.526, 34, 3 1 1
63.7, 1.461, 9, 2 2 2
75.1, 1.265, 10, 4 0 0



Calculated powder X-ray diffraction pattern of KUSi2O7 for λ = 1.5418 Å (Cu Kα), from DFT lattice parameters and positions (PBE).
Lines closer than 0.1° are merged.

Structural model:
```
data_KUSi2O7
_chemical_formula_sum 'K4 U4 Si8 O28'
_symmetry_space_group_name_H-M 'P 4/m b m'
_symmetry_Int_Tables_number 127
_symmetry_space_group_name_Hall '-P 4 2ab'
_cell_length_a 9.2600
_cell_length_b 9.2600
_cell_length_c 8.3622
_cell_angle_alpha 90.00
_cell_angle_beta 90.00
_cell_angle_gamma 90.00
loop_
_atom_site_label
_atom_site_fract_x
_atom_site_fract_y
_atom_site_fract_z
K1 0.1801 0.3199 0.0000
U1 0.0000 0.0000 0.2506
Si1 0.1195 0.6195 0.3058
O1 0.0000 0.0000 0.0000
O2 0.0000 0.0000 0.5000
O3 0.0000 0.5000 0.2412
O4 0.0729 0.7761 0.2335
O5 0.1203 0.6203 0.5000
```

Principal peaks in the range 2θ from 10° to 80°, in order of rising 2θ:
2theta, d (Å), I/Imax, hkl
13.5, 6.548, 100, 1 1 0
19.2, 4.630, 71, 2 0 0
21.3, 4.181, 43, 0 0 2
25.3, 3.524, 53, 1 1 2
27.2, 3.274, 34, 2 2 0
28.8, 3.103, 61, 2 0 2
30.5, 2.928, 62, 3 1 0
37.5, 2.399, 33, 3 1 2
43.7, 2.071, 27, 4 2 0
49.1, 1.856, 28, 4 2 2